(1)
Computed X-ray powder pattern
Compound: BaLi2Tl8
Radiation: copper Kα
Structure: DFT lattice parameters and positions (GGA-PBE)
No peak broadening, texture or thermal motion is included.

Top 10 peaks for 2θ from 15° to 90°, low angle first:
hkl 0 0 2, 19.35°, I 56; hkl 2 0 0, 27.35°, I 100; hkl 2 0 1, 29.06°, I 40; hkl 0 0 3, 29.20°, I 49; hkl 2 0 2, 33.72°, I 94; hkl 2 2 0, 39.06°, I 56; hkl 2 0 3, 40.43°, I 59; hkl 2 2 3, 49.50°, I 46; hkl 2 0 5, 57.64°, I 33; hkl 4 0 3, 64.77°, I 29

Structure:
abc: 6.5230 6.5230 9.1755
angles: 90.00 90.00 90.00
Space group P4/mmm (No. 123)
One atom of each set of equivalent atoms:
Ba1 0.0000 0.0000 0.0000 (multiplicity 1)
Li1 0.0000 0.5000 0.5000 (multiplicity 2)
Tl1 0.2530 0.2530 0.3098 (multiplicity 8)



(2)
Computed X-ray powder pattern
Compound: Ba2Li16Y
Radiation: copper Kα
Structure: DFT lattice parameters and positions (GGA-PBE)
No peak broadening, texture or thermal motion is included.

Top 10 peaks for 2θ from 15° to 90°, low angle first:
hkl 1 1 0, 16.81°, I 100; hkl 0 0 3, 17.40°, I 15; hkl 1 1 3, 24.29°, I 46; hkl 1 0 4, 25.26°, I 27; hkl 3 0 0, 29.34°, I 33; hkl 0 2 4, 30.50°, I 20; hkl 2 2 0, 34.00°, I 25; hkl 3 0 3, 34.31°, I 25; hkl 2 1 4, 35.03°, I 25; hkl 4 1 0, 45.51°, I 16

Structure:
abc: 10.5465 10.5465 15.2886
angles: 90.00 90.00 120.00
Space group R3m (No. 160, hexagonal axes)
One atom of each set of equivalent atoms:
Ba1 0.0000 0.0000 0.0000 (multiplicity 3)
Ba2 0.0000 0.0000 0.3029 (multiplicity 3)
Li1 0.0000 0.0000 0.7549 (multiplicity 3)
Li2 0.0146 0.5073 0.4998 (multiplicity 9)
Li3 0.0457 0.3784 0.3227 (multiplicity 18)
Li4 0.1689 0.3378 0.1412 (multiplicity 9)
Li5 0.1710 0.3419 0.4859 (multiplicity 9)
Y1 0.0000 0.0000 0.5551 (multiplicity 3)



(3)
Computed X-ray powder pattern
Compound: Ba2Li2Zn15
Radiation: copper Kα
Structure: DFT lattice parameters and positions (GGA-PBE)
No peak broadening, texture or thermal motion is included.

Top 10 peaks for 2θ from 15° to 90°, low angle first:
hkl 0 2 1, 22.72°, I 18; hkl 1 1 3, 27.26°, I 33; hkl 2 1 1, 29.66°, I 19; hkl 0 2 4, 34.28°, I 18; hkl 2 2 0, 38.15°, I 49; hkl 3 0 3, 38.54°, I 100; hkl 0 0 6, 39.72°, I 49; hkl 2 2 3, 43.22°, I 35; hkl 1 4 3, 55.35°, I 20; hkl 2 2 6, 56.24°, I 26

Structure:
abc: 9.4366 9.4366 13.6191
angles: 90.00 90.00 120.00
Space group R-3m (No. 166, hexagonal axes)
One atom of each set of equivalent atoms:
Ba1 0.0000 0.0000 0.1569 (multiplicity 6)
Li1 0.0000 0.0000 0.4017 (multiplicity 6)
Zn1 0.0000 0.2820 0.5000 (multiplicity 18)
Zn2 0.0000 0.5000 0.0000 (multiplicity 9)
Zn3 0.0052 0.5026 0.3433 (multiplicity 18)



(4)
Computed X-ray powder pattern
Compound: Ba2LiZn
Radiation: copper Kα
Structure: DFT lattice parameters and positions (GGA-PBE)
No peak broadening, texture or thermal motion is included.

Top 10 peaks for 2θ from 15° to 90°, low angle first:
hkl 2 0 -1, 17.38°, I 26; hkl 1 1 0, 22.91°, I 61; hkl 2 0 1, 25.49°, I 39; hkl 4 0 -1, 28.18°, I 32; hkl 1 1 1, 29.58°, I 100; hkl 4 0 0, 29.74°, I 38; hkl 2 0 -2, 30.17°, I 53; hkl 3 1 -1, 31.19°, I 99; hkl 3 1 1, 38.91°, I 33; hkl 5 1 0, 43.65°, I 24

Structure:
abc: 12.8946 4.1017 5.9580
angles: 90.00 111.27 90.00
Space group Cm (No. 8)
One atom of each set of equivalent atoms:
Ba1 0.0000 0.0000 0.0000 (multiplicity 2)
Ba2 0.1961 0.0000 0.6509 (multiplicity 2)
Li1 0.2971 0.5000 0.2662 (multiplicity 2)
Zn1 0.4565 0.0000 0.4657 (multiplicity 2)



(5)
Computed X-ray powder pattern
Compound: Ba6Li15Zn8
Radiation: copper Kα
Structure: DFT lattice parameters and positions (GGA-PBE)
No peak broadening, texture or thermal motion is included.

Top 10 peaks for 2θ from 15° to 90°, low angle first:
hkl 2 2 0, 17.16°, I 17; hkl 2 2 2, 21.06°, I 80; hkl 3 3 1, 26.58°, I 37; hkl 4 2 0, 27.29°, I 26; hkl 4 4 0, 34.72°, I 100; hkl 6 2 2, 40.96°, I 34; hkl 7 3 3, 51.16°, I 21; hkl 6 6 2, 54.75°, I 16; hkl 8 4 4, 62.24°, I 26; hkl 11 7 3, 89.77°, I 16

Structure:
abc: 14.6155 14.6155 14.6155
angles: 90.00 90.00 90.00
Space group Fm-3m (No. 225)
One atom of each set of equivalent atoms:
Ba1 0.0000 0.0000 0.2344 (multiplicity 24)
Li1 0.0000 0.0000 0.5000 (multiplicity 4)
Li2 0.0000 0.2500 0.2500 (multiplicity 24)
Li3 0.1792 0.1792 0.1792 (multiplicity 32)
Zn1 0.1387 0.1387 0.3613 (multiplicity 32)



(6)
Computed X-ray powder pattern
Compound: Ba3Li7Zn2
Radiation: copper Kα
Structure: DFT lattice parameters and positions (GGA-PBE)
No peak broadening, texture or thermal motion is included.

Top 10 peaks for 2θ from 15° to 90°, low angle first:
hkl 1 0 1, 16.45°, I 55; hkl 0 0 6, 17.87°, I 63; hkl 1 0 4, 20.12°, I 21; hkl 1 0 7, 26.53°, I 46; hkl 1 1 0, 28.21°, I 100; hkl 1 1 6, 33.60°, I 94; hkl 2 1 7, 48.92°, I 17; hkl 3 0 0, 49.93°, I 20; hkl 0 3 6, 53.46°, I 25; hkl 1 1 15, 54.59°, I 24

Structure:
abc: 6.3270 6.3270 29.7760
angles: 90.00 90.00 120.00
Space group R-3m (No. 166, hexagonal axes)
One atom of each set of equivalent atoms:
Ba1 0.0000 0.0000 0.0000 (multiplicity 3)
Ba2 0.0000 0.0000 0.1439 (multiplicity 6)
Li1 0.0000 0.0000 0.5000 (multiplicity 3)
Li2 0.0049 0.5025 0.0727 (multiplicity 18)
Zn1 0.0000 0.0000 0.3320 (multiplicity 6)



(7)
Computed X-ray powder pattern
Compound: BaLiZn2
Radiation: copper Kα
Structure: DFT lattice parameters and positions (GGA-PBE)
No peak broadening, texture or thermal motion is included.

Top 10 peaks for 2θ from 15° to 90°, low angle first:
hkl 0 1 1, 21.70°, I 51; hkl 2 0 0, 22.31°, I 54; hkl 0 1 3, 30.23°, I 46; hkl 2 1 1, 31.32°, I 100; hkl 1 0 4, 31.66°, I 68; hkl 1 1 3, 32.29°, I 95; hkl 0 2 0, 41.50°, I 37; hkl 3 1 3, 45.93°, I 43; hkl 1 2 4, 53.12°, I 31; hkl 1 1 7, 58.68°, I 28

Structure:
abc: 7.9697 4.3523 12.0868
angles: 90.00 90.00 90.00
Space group Pnma (No. 62)
One atom of each set of equivalent atoms:
Ba1 0.2453 0.2500 0.2062 (multiplicity 4)
Li1 0.0711 0.7500 0.4369 (multiplicity 4)
Zn1 0.0660 0.2500 0.9264 (multiplicity 4)
Zn2 0.2335 0.7500 0.9836 (multiplicity 4)



(8)
Computed X-ray powder pattern
Compound: Ba2Li3Zn6
Radiation: copper Kα
Structure: DFT lattice parameters and positions (GGA-PBE)
No peak broadening, texture or thermal motion is included.

Top 10 peaks for 2θ from 15° to 90°, low angle first:
hkl 0 2 1, 25.48°, I 35; hkl 2 0 1, 27.36°, I 100; hkl 2 2 1, 30.93°, I 63; hkl 1 3 1, 31.40°, I 66; hkl 2 4 0, 33.51°, I 27; hkl 3 3 0, 33.83°, I 46; hkl 4 2 0, 37.82°, I 30; hkl 0 0 2, 42.93°, I 34; hkl 4 4 1, 50.80°, I 24; hkl 3 3 2, 55.75°, I 21

Structure:
abc: 10.2854 12.5223 4.2137
angles: 90.00 90.00 90.00
Space group Cmmm (No. 65)
One atom of each set of equivalent atoms:
Ba1 0.0000 0.2097 0.0000 (multiplicity 4)
Li1 0.0000 0.5000 0.5000 (multiplicity 2)
Li2 0.1990 0.5000 0.0000 (multiplicity 4)
Zn1 0.1231 0.0000 0.5000 (multiplicity 4)
Zn2 0.2135 0.3484 0.5000 (multiplicity 8)



(9)
Computed X-ray powder pattern
Compound: BaLi4Zn
Radiation: copper Kα
Structure: DFT lattice parameters and positions (GGA-PBE)
No peak broadening, texture or thermal motion is included.

Top 10 peaks for 2θ from 15° to 90°, low angle first:
hkl 1 0 1, 21.13°, I 100; hkl 0 0 2, 23.34°, I 21; hkl 1 1 0, 24.98°, I 35; hkl 1 1 2, 34.45°, I 25; hkl 2 0 0, 35.62°, I 17; hkl 0 1 3, 39.71°, I 17; hkl 2 1 1, 41.78°, I 34; hkl 0 2 2, 43.00°, I 13; hkl 2 1 -3, 54.35°, I 9; hkl 2 1 3, 54.47°, I 9

Structure:
abc: 5.0412 5.0412 7.6217
angles: 90.00 90.17 90.00
Space group P2/m (No. 10)
One atom of each set of equivalent atoms:
Ba1 0.0000 0.0000 0.0000 (multiplicity 1)
Li1 0.0000 0.5000 0.5000 (multiplicity 1)
Li2 0.4994 0.5000 0.8189 (multiplicity 2)
Li3 0.5000 0.0000 0.5000 (multiplicity 1)
Zn1 0.5000 0.5000 0.5000 (multiplicity 1)



(10)
Computed X-ray powder pattern
Compound: BaLi8Zn2
Radiation: copper Kα
Structure: DFT lattice parameters and positions (GGA-PBE)
No peak broadening, texture or thermal motion is included.

Top 10 peaks for 2θ from 15° to 90°, low angle first:
hkl 1 0 1, 16.35°, I 57; hkl 0 0 4, 17.98°, I 40; hkl 1 0 3, 20.75°, I 33; hkl 1 1 2, 24.07°, I 100; hkl 1 0 5, 27.59°, I 16; hkl 2 0 0, 31.73°, I 18; hkl 1 1 6, 35.38°, I 37; hkl 2 0 4, 36.71°, I 40; hkl 3 1 2, 52.12°, I 24; hkl 3 1 6, 58.91°, I 16

Structure:
abc: 5.6396 5.6396 19.7334
angles: 90.00 90.00 90.00
Space group I4/mmm (No. 139)
One atom of each set of equivalent atoms:
Ba1 0.0000 0.0000 0.0000 (multiplicity 2)
Li1 0.2501 0.2501 0.1612 (multiplicity 16)
Zn1 0.0000 0.5000 0.2500 (multiplicity 4)



(11)
Computed X-ray powder pattern
Compound: Ba3Li2Zn4
Radiation: copper Kα
Structure: DFT lattice parameters and positions (GGA-PBE)
No peak broadening, texture or thermal motion is included.

Top 10 peaks for 2θ from 15° to 90°, low angle first:
hkl 1 1 1, 23.10°, I 100; hkl 0 0 3, 27.52°, I 32; hkl 2 0 -3, 29.55°, I 38; hkl 4 0 -1, 29.80°, I 29; hkl 4 0 1, 32.12°, I 28; hkl 3 1 -2, 33.36°, I 70; hkl 1 1 3, 35.51°, I 24; hkl 0 2 0, 39.43°, I 27; hkl 1 1 4, 43.66°, I 20; hkl 3 1 -5, 53.52°, I 17

Structure:
abc: 12.1922 4.5705 9.8050
angles: 90.00 97.38 90.00
Space group C2/m (No. 12)
One atom of each set of equivalent atoms:
Ba1 0.0000 0.0000 0.0000 (multiplicity 2)
Ba2 0.1157 0.5000 0.3808 (multiplicity 4)
Li1 0.1880 0.5000 0.7930 (multiplicity 4)
Zn1 0.1083 0.0000 0.6702 (multiplicity 4)
Zn2 0.2390 0.5000 0.0727 (multiplicity 4)



(12)
Computed X-ray powder pattern
Compound: BaLi2Zn2
Radiation: copper Kα
Structure: DFT lattice parameters and positions (GGA-PBE)
No peak broadening, texture or thermal motion is included.

Top 10 peaks for 2θ from 15° to 90°, low angle first:
hkl 0 0 1, 17.88°, I 100; hkl 1 1 0, 21.01°, I 35; hkl 1 1 1, 29.66°, I 54; hkl 4 0 -1, 31.25°, I 22; hkl 3 1 -1, 31.47°, I 85; hkl 4 0 0, 33.05°, I 30; hkl 0 2 0, 39.23°, I 24; hkl 3 1 -2, 40.80°, I 37; hkl 0 2 1, 43.42°, I 20; hkl 1 1 2, 44.94°, I 27

Structure:
abc: 11.6586 4.5930 5.3351
angles: 90.00 111.57 90.00
Space group C2/m (No. 12)
One atom of each set of equivalent atoms:
Ba1 0.0000 0.0000 0.0000 (multiplicity 2)
Li1 0.1744 0.5000 0.5737 (multiplicity 4)
Zn1 0.2376 0.5000 0.1169 (multiplicity 4)



(13)
Computed X-ray powder pattern
Compound: Ba3Li5Zn6
Radiation: copper Kα
Structure: DFT lattice parameters and positions (GGA-PBE)
No peak broadening, texture or thermal motion is included.

Top 10 peaks for 2θ from 15° to 90°, low angle first:
hkl 0 2 2, 20.36°, I 22; hkl 0 1 3, 20.69°, I 44; hkl 1 1 0, 21.32°, I 37; hkl 0 3 1, 24.72°, I 12; hkl 0 3 3, 30.74°, I 19; hkl 1 3 0, 31.19°, I 29; hkl 0 4 0, 32.00°, I 100; hkl 1 0 5, 37.96°, I 22; hkl 2 0 0, 40.16°, I 21; hkl 2 4 0, 52.26°, I 13

Structure:
abc: 4.4903 11.1814 13.9534
angles: 90.00 90.00 90.00
Space group Immm (No. 71)
One atom of each set of equivalent atoms:
Ba1 0.0000 0.0000 0.0000 (multiplicity 2)
Ba2 0.0000 0.0000 0.3092 (multiplicity 4)
Li1 0.0000 0.3043 0.3110 (multiplicity 8)
Li2 0.0000 0.5000 0.0000 (multiplicity 2)
Zn1 0.0000 0.2194 0.5000 (multiplicity 4)
Zn2 0.0000 0.2833 0.1017 (multiplicity 8)